# 1
Calculated PXRD pattern of Ca3Tl2Zn for λ = 1.5418 Å (Cu Kα), from a PBE-relaxed structure.

Largest 6 diffraction maxima, low angle first, 15 to 90 degrees two-theta:
2θ/deg, I_rel
23.07, 20
23.33, 39
33.04, 100
33.24, 49
40.85, 19
59.26, 36

```
12
Lattice="5.3949 0.0000 0.0000 0.0000 16.1630 0.0000 0.0000 0.0000 3.8555" Properties=species:S:1:pos:R:3 pbc="T T T"
Ca 0.0000 0.0000 0.0000
Ca 0.0000 5.4960 0.0000
Ca 0.0000 10.6670 0.0000
Ca 2.6975 2.5855 0.0000
Ca 2.6975 8.0815 0.0000
Ca 2.6975 13.5775 0.0000
Tl 0.0000 2.7303 1.9278
Tl 0.0000 13.4327 1.9278
Tl 2.6975 5.3512 1.9278
Tl 2.6975 10.8117 1.9278
Zn 0.0000 8.0815 1.9278
Zn 2.6975 0.0000 1.9278
```


# 2
Calculated PXRD pattern of Zn2ReSnN4 for λ = 1.5418 Å (Cu Kα), from a PBE-relaxed structure.

Largest 6 diffraction maxima, low angle first, 15 to 90 degrees two-theta:
2θ/deg, I_rel
24.39, 13
32.27, 100
34.76, 33
49.98, 17
55.91, 24
60.75, 32

```
8
Lattice="0.0000 3.6532 4.2672 3.6466 0.0000 4.2672 3.6466 3.6532 0.0000" Properties=species:S:1:pos:R:3 pbc="T T T"
Zn 1.8233 1.8266 0.0000
Zn 1.8233 1.8266 4.2672
Re 3.6466 3.6532 2.1346
Sn 3.6466 3.6532 6.3953
N 5.1585 3.6532 3.2447
N 3.6466 1.5104 5.2917
N 2.1346 3.6532 3.2447
N 3.6466 5.7961 5.2917
```


# 3
Calculated PXRD pattern of UPaAsN2 for λ = 1.5418 Å (Cu Kα), from a PBE-relaxed structure.

Largest 6 diffraction maxima, low angle first, 15 to 90 degrees two-theta:
2θ/deg, I_rel
24.51, 28
32.50, 100
33.24, 47
47.72, 21
57.50, 16
58.92, 38

```
10
Lattice="3.8116 0.0000 0.0000 0.0000 3.8116 0.0000 0.0000 0.0000 11.9617" Properties=species:S:1:pos:R:3 pbc="T T T"
U 0.0000 0.0000 0.0000
U 1.9058 1.9058 5.9808
Pa 0.0000 0.0000 8.3943
Pa 1.9058 1.9058 2.4135
As 0.0000 0.0000 4.1821
As 1.9058 1.9058 10.1629
N 0.0000 1.9058 1.1960
N 0.0000 1.9058 7.1768
N 1.9058 0.0000 1.1960
N 1.9058 0.0000 7.1768
```


# 4
Calculated PXRD pattern of InPbAu14 for λ = 1.5418 Å (Cu Kα), from a PBE-relaxed structure.

Largest 6 diffraction maxima, low angle first, 15 to 90 degrees two-theta:
2θ/deg, I_rel
33.63, 20
37.31, 34
38.60, 100
40.53, 37
68.14, 19
75.49, 18

```
16
Lattice="9.6415 0.0000 0.0000 0.0000 3.1453 5.0184 0.0000 -3.1453 5.0184" Properties=species:S:1:pos:R:3 pbc="T T T"
In 0.0000 0.0000 0.0000
Pb 0.0000 0.0000 5.0252
Au 0.0000 1.5470 7.5683
Au 0.0000 -1.5470 7.5683
Au 2.3735 0.0000 1.7335
Au 2.4950 -1.6004 4.2236
Au 2.4950 1.6004 4.2236
Au 2.5047 0.0000 6.7700
Au 4.8208 -1.5142 2.4373
Au 4.8208 1.5142 2.4373
Au 4.8208 0.0000 4.9920
Au 4.8208 0.0000 9.9864
Au 7.1369 0.0000 6.7700
Au 7.1465 -1.6004 4.2236
Au 7.1465 1.6004 4.2236
Au 7.2680 0.0000 1.7335
```


# 5
Calculated PXRD pattern of Nd8Ho4Er for λ = 1.5418 Å (Cu Kα), from a PBE-relaxed structure.

Largest 6 diffraction maxima, low angle first, 15 to 90 degrees two-theta:
2θ/deg, I_rel
27.61, 25
30.96, 100
32.34, 34
37.81, 35
50.20, 30
58.24, 18

```
13
Lattice="3.6347 2.0985 9.6924 -3.6347 2.0985 9.6924 0.0000 -4.1970 9.6924" Properties=species:S:1:pos:R:3 pbc="T T T"
Nd -1.9745 -1.1400 16.5741
Nd 0.0000 0.0000 6.1653
Nd 0.0000 -2.2799 12.5031
Nd -1.9745 1.1400 12.5031
Nd 1.9745 -1.1400 16.5741
Nd 0.0000 2.2799 16.5741
Nd 0.0000 0.0000 22.9119
Nd 1.9745 1.1400 12.5031
Ho 0.0000 0.0000 0.0000
Ho -1.8174 -1.0493 9.6924
Ho -1.8174 1.0493 19.3848
Ho 0.0000 2.0985 9.6924
Er 0.0000 0.0000 14.5386
```


# 6
Calculated PXRD pattern of CaTb3Pm6 for λ = 1.5418 Å (Cu Kα), from a PBE-relaxed structure.

Largest 6 diffraction maxima, low angle first, 15 to 90 degrees two-theta:
2θ/deg, I_rel
30.13, 51
30.27, 100
31.01, 99
31.66, 95
31.88, 59
32.67, 42

```
20
Lattice="12.1825 0.0000 0.0000 0.0000 3.5816 0.0000 -3.9909 0.0000 15.8117" Properties=species:S:1:pos:R:3 pbc="T T T"
Ca 1.3552 0.8954 0.9814
Ca 6.8363 2.6862 14.8303
Tb -1.2982 0.8954 10.5809
Tb 2.9556 0.8954 6.7832
Tb 3.9609 0.8954 3.4390
Tb 4.2306 2.6862 12.3726
Tb 5.2359 2.6862 9.0285
Tb 9.4897 2.6862 5.2307
Pm -0.4564 0.8954 7.2662
Pm -1.9803 2.6862 13.4622
Pm 0.7892 2.6862 4.3220
Pm 1.6862 2.6862 9.7069
Pm 1.1430 0.8954 12.9663
Pm 4.5531 2.6862 0.3116
Pm 3.6384 0.8954 15.5001
Pm 7.0486 2.6862 2.8454
Pm 6.5054 0.8954 6.1047
Pm 7.4024 0.8954 11.4897
Pm 10.1719 0.8954 2.3494
Pm 8.6480 2.6862 8.5454
```


# 7
Calculated PXRD pattern of Tm6Tl5Sb for λ = 1.5418 Å (Cu Kα), from a PBE-relaxed structure.

Largest 6 diffraction maxima, low angle first, 15 to 90 degrees two-theta:
2θ/deg, I_rel
33.20, 100
33.33, 99
34.70, 44
34.91, 44
50.04, 31
61.28, 33

```
12
Lattice="2.5701 -7.7564 0.0000 2.5701 7.7564 0.0000 -0.0424 0.0000 7.9913" Properties=species:S:1:pos:R:3 pbc="T T T"
Tm 5.1285 0.0000 1.9315
Tm -0.0306 0.0000 6.0598
Tm 2.5562 2.5233 2.0124
Tm 2.5417 2.5233 5.9789
Tm 2.5562 -2.5233 2.0124
Tm 2.5417 -2.5233 5.9789
Tl 2.5489 5.1728 3.9956
Tl 2.5701 5.0368 0.0000
Tl 2.5489 0.0000 3.9956
Tl 2.5701 -5.0368 0.0000
Tl 2.5489 -5.1728 3.9956
Sb 2.5701 0.0000 0.0000
```